1.
# CeHSO5
Calculated powder diffraction line list, Cu Kα. Input: a structure optimized by DFT (GGA-PBE).

Main lines, by angle (10° ≤ 2θ ≤ 90°):
two_theta	I (rel.)	hkl
14.00	100	0 2 0
19.30	48	0 2 1
24.75	45	1 2 -1
27.32	76	1 0 -2
29.52	58	1 1 1
29.84	47	1 3 0
31.27	64	0 4 1
48.15	48	1 4 -3

Structural model:
```
data_CeHSO5
_chemical_formula_sum 'Ce4 H4 S4 O20'
_symmetry_space_group_name_H-M 'P 1 21/c 1'
_symmetry_Int_Tables_number 14
_cell_length_a 4.5570
_cell_length_b 12.6547
_cell_length_c 7.1802
_cell_angle_alpha 90.00
_cell_angle_beta 111.14
_cell_angle_gamma 90.00
loop_
_symmetry_equiv_pos_as_xyz
'x,y,z'
'-x,-y,-z'
'-x,y+1/2,-z+1/2'
'x,-y+1/2,z+1/2'
loop_
_atom_site_label
_atom_site_type_symbol
_atom_site_fract_x
_atom_site_fract_y
_atom_site_fract_z
Ce1 Ce 0.1615 0.0644 0.3021
H1 H 0.2131 0.6535 0.9764
S1 S 0.4039 0.1461 0.8879
O1 O 0.1945 0.0706 0.9477
O2 O 0.2310 0.2463 0.8203
O3 O 0.2373 0.5841 0.0413
O4 O 0.3071 0.6653 0.4385
O5 O 0.4715 0.0971 0.7194
```

2.
# CeH8S2O12
Calculated powder diffraction line list, Cu Kα. Input: a structure optimized by DFT (GGA-PBE).

Main lines, by angle (10° ≤ 2θ ≤ 90°):
two_theta	I (rel.)	hkl
13.08	47	0 0 4
17.13	35	1 1 1
19.50	100	1 1 3
24.55	36	0 2 6
28.52	52	1 3 3
28.63	35	1 1 7
36.59	42	2 2 4
40.40	22	1 3 9

Structural model:
```
data_CeH8S2O12
_chemical_formula_sum 'Ce8 H64 S16 O96'
_symmetry_space_group_name_H-M 'F d d d'
_symmetry_Int_Tables_number 70
_cell_length_a 5.8478
_cell_length_b 12.1890
_cell_length_c 27.0680
_cell_angle_alpha 90.00
_cell_angle_beta 90.00
_cell_angle_gamma 90.00
loop_
_symmetry_equiv_pos_as_xyz
'x,y,z'
'-x,-y,-z'
'-x+1/4,-y+1/4,z'
'x+1/4,y+1/4,-z'
'x,-y+1/4,-z+1/4'
'-x,y+1/4,z+1/4'
'-x+1/4,y,-z+1/4'
'x+1/4,-y,z+1/4'
'x,y+1/2,z+1/2'
'-x,-y+1/2,-z+1/2'
'-x+1/4,-y+3/4,z+1/2'
'x+1/4,y+3/4,-z+1/2'
'x,-y+3/4,-z+3/4'
'-x,y+3/4,z+3/4'
'-x+1/4,y+1/2,-z+3/4'
'x+1/4,-y+1/2,z+3/4'
'x+1/2,y,z+1/2'
'-x+1/2,-y,-z+1/2'
'-x+3/4,-y+1/4,z+1/2'
'x+3/4,y+1/4,-z+1/2'
'x+1/2,-y+1/4,-z+3/4'
'-x+1/2,y+1/4,z+3/4'
'-x+3/4,y,-z+3/4'
'x+3/4,-y,z+3/4'
'x+1/2,y+1/2,z'
'-x+1/2,-y+1/2,-z'
'-x+3/4,-y+3/4,z'
'x+3/4,y+3/4,-z'
'x+1/2,-y+3/4,-z+1/4'
'-x+1/2,y+3/4,z+1/4'
'-x+3/4,y+1/2,-z+1/4'
'x+3/4,-y+1/2,z+1/4'
loop_
_atom_site_label
_atom_site_type_symbol
_atom_site_fract_x
_atom_site_fract_y
_atom_site_fract_z
Ce1 Ce 0.1250 0.1250 0.1250
H1 H 0.0540 0.0025 0.3054
H2 H 0.1227 0.3514 0.9768
S1 S 0.1250 0.1250 0.4327
O1 O 0.0797 0.3533 0.7131
O2 O 0.0875 0.0276 0.8503
O3 O 0.1001 0.3142 0.3054
```